# 1
Simulated powder X-ray diffraction pattern
Compound: Ti5VP6O24
Radiation: a wavelength of 1.5418 Å
Structure: a structure optimized by DFT (GGA+U)

Crystal structure
```
data_Ti5VP6O24
_cell_length_a 8.4497
_cell_length_b 8.4497
_cell_length_c 8.4497
_cell_angle_alpha 62.41
_cell_angle_beta 62.41
_cell_angle_gamma 62.41
_symmetry_space_group_name_H-M 'P 1'
_symmetry_Int_Tables_number 1
_symmetry_space_group_name_Hall 'P 1'
loop_
_atom_site_label
_atom_site_type_symbol
_atom_site_fract_x
_atom_site_fract_y
_atom_site_fract_z
Ti1 Ti 0.0000 0.0000 0.0000
Ti2 Ti 0.1382 0.1382 0.1382
Ti3 Ti 0.2792 0.2792 0.2792
Ti4 Ti 0.6398 0.6398 0.6398
Ti5 Ti 0.7813 0.7813 0.7813
V1 V 0.4998 0.4998 0.4998
P1 P 0.0982 0.3906 0.6797
P2 P 0.1824 0.8885 0.5988
P3 P 0.3906 0.6797 0.0982
P4 P 0.5988 0.1824 0.8885
P5 P 0.6797 0.0982 0.3906
P6 P 0.8885 0.5988 0.1824
O1 O 0.0261 0.8163 0.6409
O2 O 0.0428 0.3990 0.1939
O3 O 0.0787 0.2352 0.8808
O4 O 0.1362 0.9638 0.7540
O5 O 0.1391 0.3182 0.5237
O6 O 0.1939 0.0428 0.3990
O7 O 0.2352 0.8808 0.0787
O8 O 0.2486 0.4599 0.6458
O9 O 0.3182 0.5237 0.1391
O10 O 0.3810 0.7393 0.5856
O11 O 0.3990 0.1939 0.0428
O12 O 0.4599 0.6458 0.2486
O13 O 0.5237 0.1391 0.3182
O14 O 0.5445 0.6949 0.8972
O15 O 0.5856 0.3810 0.7393
O16 O 0.6409 0.0261 0.8163
O17 O 0.6458 0.2486 0.4599
O18 O 0.6949 0.8972 0.5445
O19 O 0.7393 0.5856 0.3810
O20 O 0.7540 0.1362 0.9638
O21 O 0.8163 0.6409 0.0261
O22 O 0.8808 0.0787 0.2352
O23 O 0.8972 0.5445 0.6949
O24 O 0.9638 0.7540 0.1362
```

Top 10 peaks for 10 to 90 degrees two-theta, sorted by position:
2theta  d [Å]  intensity
20.28  4.378  54.6
24.21  3.676  100.0
25.07  3.552  15.9
31.53  2.838  16.9
33.46  2.678  44.9
35.52  2.528  27.3
47.86  1.901  27.4
49.59  1.838  16.8
55.53  1.655  20.6
56.85  1.620  14.1

# 2
Simulated powder X-ray diffraction pattern
Compound: TiVP2O8
Radiation: a wavelength of 1.5418 Å
Structure: a structure optimized by DFT (GGA+U)

Crystal structure
```
data_TiVP2O8
_cell_length_a 8.6054
_cell_length_b 8.6054
_cell_length_c 8.6054
_cell_angle_alpha 60.59
_cell_angle_beta 60.59
_cell_angle_gamma 60.59
_symmetry_space_group_name_H-M 'P 1'
_symmetry_Int_Tables_number 1
_symmetry_space_group_name_Hall 'P 1'
loop_
_atom_site_label
_atom_site_type_symbol
_atom_site_fract_x
_atom_site_fract_y
_atom_site_fract_z
Ti1 Ti 0.0000 0.0000 0.0000
Ti2 Ti 0.2115 0.2115 0.2115
Ti3 Ti 0.7099 0.7099 0.7099
V1 V 0.3543 0.3543 0.3543
V2 V 0.4967 0.4967 0.4967
V3 V 0.8560 0.8560 0.8560
P1 P 0.1042 0.8122 0.3985
P2 P 0.3110 0.6048 0.8977
P3 P 0.3985 0.1042 0.8122
P4 P 0.6048 0.8977 0.3110
P5 P 0.8122 0.3985 0.1042
P6 P 0.8977 0.3110 0.6048
O1 O 0.0339 0.8631 0.2397
O2 O 0.0945 0.2969 0.4446
O3 O 0.1162 0.7682 0.9200
O4 O 0.1706 0.9718 0.3532
O5 O 0.2397 0.0339 0.8631
O6 O 0.2591 0.6182 0.4098
O7 O 0.2969 0.4446 0.0945
O8 O 0.3454 0.5418 0.7464
O9 O 0.3532 0.1706 0.9718
O10 O 0.4098 0.2591 0.6182
O11 O 0.4446 0.0945 0.2969
O12 O 0.4730 0.6703 0.8523
O13 O 0.5418 0.7464 0.3454
O14 O 0.5933 0.9422 0.7995
O15 O 0.6182 0.4098 0.2591
O16 O 0.6703 0.8523 0.4730
O17 O 0.7464 0.3454 0.5418
O18 O 0.7682 0.9200 0.1162
O19 O 0.7995 0.5933 0.9422
O20 O 0.8523 0.4730 0.6703
O21 O 0.8631 0.2397 0.0339
O22 O 0.9200 0.1162 0.7682
O23 O 0.9422 0.7995 0.5933
O24 O 0.9718 0.3532 0.1706
```

Top 10 peaks for 10 to 90 degrees two-theta, sorted by position:
2theta  d [Å]  intensity
20.46  4.341  56.8
24.13  3.688  100.0
25.16  3.539  14.2
31.78  2.816  15.3
32.89  2.723  55.3
35.83  2.506  27.1
47.15  1.927  24.4
49.42  1.844  20.7
56.06  1.640  19.4
62.53  1.485  13.6

# 3
Simulated powder X-ray diffraction pattern
Compound: TiV5P6O24
Radiation: a wavelength of 1.5418 Å
Structure: a structure optimized by DFT (GGA+U)

Crystal structure
```
data_TiV5P6O24
_cell_length_a 8.6048
_cell_length_b 8.6048
_cell_length_c 8.6048
_cell_angle_alpha 60.24
_cell_angle_beta 60.24
_cell_angle_gamma 60.24
_symmetry_space_group_name_H-M 'P 1'
_symmetry_Int_Tables_number 1
_symmetry_space_group_name_Hall 'P 1'
loop_
_atom_site_label
_atom_site_type_symbol
_atom_site_fract_x
_atom_site_fract_y
_atom_site_fract_z
Ti1 Ti 0.0000 0.0000 0.0000
V1 V 0.1449 0.1449 0.1449
V2 V 0.2896 0.2896 0.2896
V3 V 0.5018 0.5018 0.5018
V4 V 0.6457 0.6457 0.6457
V5 V 0.7882 0.7882 0.7882
P1 P 0.1022 0.6884 0.3951
P2 P 0.1884 0.6005 0.8951
P3 P 0.3951 0.1022 0.6884
P4 P 0.6005 0.8951 0.1884
P5 P 0.6884 0.3951 0.1022
P6 P 0.8951 0.1884 0.6005
O1 O 0.0317 0.6397 0.8328
O2 O 0.0587 0.2052 0.4067
O3 O 0.0842 0.8847 0.2309
O4 O 0.1410 0.5309 0.3326
O5 O 0.1409 0.7636 0.9595
O6 O 0.2052 0.4067 0.0587
O7 O 0.2309 0.0842 0.8847
O8 O 0.2590 0.6519 0.4565
O9 O 0.3326 0.1410 0.5309
O10 O 0.3840 0.5891 0.7344
O11 O 0.4067 0.0587 0.2052
O12 O 0.4565 0.2590 0.6519
O13 O 0.5309 0.3326 0.1410
O14 O 0.5557 0.9045 0.7070
O15 O 0.5891 0.7344 0.3840
O16 O 0.6397 0.8328 0.0317
O17 O 0.6519 0.4565 0.2590
O18 O 0.7070 0.5557 0.9045
O19 O 0.7344 0.3840 0.5891
O20 O 0.7636 0.9595 0.1409
O21 O 0.8328 0.0317 0.6397
O22 O 0.8847 0.2309 0.0842
O23 O 0.9045 0.7070 0.5557
O24 O 0.9595 0.1409 0.7636
```

Top 10 peaks for 10 to 90 degrees two-theta, sorted by position:
2theta  d [Å]  intensity
20.58  4.316  68.0
24.21  3.677  100.0
25.28  3.524  13.5
31.94  2.802  15.5
32.90  2.723  60.6
36.03  2.493  30.2
47.20  1.925  24.7
49.58  1.839  23.6
56.38  1.632  19.8
62.80  1.480  14.8

# 4
Simulated powder X-ray diffraction pattern
Compound: TiVZnP3O12
Radiation: a wavelength of 1.5418 Å
Structure: a structure optimized by DFT (GGA+U)

Crystal structure
```
data_TiVZnP3O12
_cell_length_a 8.5659
_cell_length_b 8.5659
_cell_length_c 8.5659
_cell_angle_alpha 60.46
_cell_angle_beta 60.46
_cell_angle_gamma 60.46
_symmetry_space_group_name_H-M 'P 1'
_symmetry_Int_Tables_number 1
_symmetry_space_group_name_Hall 'P 1'
loop_
_atom_site_label
_atom_site_type_symbol
_atom_site_fract_x
_atom_site_fract_y
_atom_site_fract_z
Ti1 Ti 0.0000 0.0000 0.0000
Ti2 Ti 0.5000 0.5000 0.5000
V1 V 0.2125 0.2125 0.2125
V2 V 0.7125 0.7125 0.7125
Zn1 Zn 0.3539 0.3539 0.3539
Zn2 Zn 0.8539 0.8539 0.8539
P1 P 0.1067 0.4003 0.8114
P2 P 0.3114 0.9003 0.6067
P3 P 0.4003 0.8114 0.1067
P4 P 0.6067 0.3114 0.9003
P5 P 0.8114 0.1067 0.4003
P6 P 0.9003 0.6067 0.3114
O1 O 0.0429 0.2358 0.8570
O2 O 0.0954 0.4460 0.2928
O3 O 0.1148 0.9096 0.7701
O4 O 0.1697 0.3612 0.9673
O5 O 0.2358 0.8570 0.0429
O6 O 0.2701 0.4096 0.6148
O7 O 0.2928 0.0954 0.4460
O8 O 0.3570 0.7358 0.5429
O9 O 0.3612 0.9673 0.1697
O10 O 0.4096 0.6148 0.2701
O11 O 0.4460 0.2928 0.0954
O12 O 0.4673 0.8612 0.6697
O13 O 0.5429 0.3570 0.7358
O14 O 0.5954 0.7928 0.9460
O15 O 0.6148 0.2701 0.4096
O16 O 0.6697 0.4673 0.8612
O17 O 0.7358 0.5429 0.3570
O18 O 0.7701 0.1148 0.9096
O19 O 0.7928 0.9460 0.5954
O20 O 0.8570 0.0429 0.2358
O21 O 0.8612 0.6697 0.4673
O22 O 0.9096 0.7701 0.1148
O23 O 0.9460 0.5954 0.7928
O24 O 0.9673 0.1697 0.3612
```

Top 10 peaks for 10 to 90 degrees two-theta, sorted by position:
2theta  d [Å]  intensity
20.59  4.313  81.0
24.27  3.667  100.0
25.32  3.517  22.6
33.05  2.711  72.6
36.07  2.490  36.1
47.40  1.918  32.4
49.72  1.834  27.4
56.45  1.630  22.9
56.70  1.624  15.9
62.95  1.477  20.0